# 1
For Er2Tm2Mg, a PBE-relaxed structure gives the theoretical powder diffractogram in this record (λ = 1.5418 Å (Cu Kα)).
Intensities are scaled so that the largest is 100.

Main lines, low angle first (5 to 70 degrees two-theta):
two_theta, d (Å), Rel. int.
15.14, 5.852, 17
29.83, 2.996, 98
33.18, 2.700, 100
36.22, 2.480, 19
45.21, 2.006, 32
57.22, 1.610, 32
58.36, 1.581, 30
59.28, 1.559, 19

Structure:
```
Er2Tm2Mg
1.0
5.400 0.000 0.000
-2.700 4.676 0.000
0.000 0.000 11.703
Er Tm Mg
4 4 2
Direct
0.333 0.667 0.000
0.333 0.667 0.346
0.667 0.333 0.500
0.667 0.333 0.846
0.000 0.000 0.346
0.000 0.000 0.846
0.333 0.667 0.694
0.667 0.333 0.194
0.000 0.000 0.096
0.000 0.000 0.596
```



# 2
For ErTm4Mg7, a PBE-relaxed structure gives the theoretical powder diffractogram in this record (λ = 1.5418 Å (Cu Kα)).
Intensities are scaled so that the largest is 100.

Main lines, low angle first (5 to 70 degrees two-theta):
two_theta, d (Å), Rel. int.
20.63, 4.305, 88
28.33, 3.151, 54
33.74, 2.657, 100
34.06, 2.632, 97
48.70, 1.870, 41
60.13, 1.539, 17
60.77, 1.524, 53
60.96, 1.520, 18

Structure:
```
ErTm4Mg7
1.0
5.265 0.000 0.000
-2.632 4.559 0.000
0.000 0.000 13.078
Er Tm Mg
1 4 7
Direct
0.000 0.000 0.000
0.333 0.667 0.161
0.333 0.667 0.423
0.667 0.333 0.577
0.667 0.333 0.839
0.000 0.000 0.262
0.000 0.000 0.500
0.000 0.000 0.738
0.333 0.667 0.681
0.333 0.667 0.918
0.667 0.333 0.082
0.667 0.333 0.319
```



# 3
For Er5Tm5Mg2, a PBE-relaxed structure gives the theoretical powder diffractogram in this record (λ = 1.5418 Å (Cu Kα)).
Intensities are scaled so that the largest is 100.

Main lines, low angle first (5 to 70 degrees two-theta):
two_theta, d (Å), Rel. int.
32.29, 2.772, 87
32.62, 2.745, 100
32.79, 2.731, 57
33.33, 2.688, 48
47.46, 1.916, 30
57.72, 1.597, 26
58.92, 1.568, 19
59.12, 1.563, 19

Structure:
```
Er5Tm5Mg2
1.0
5.962 -2.688 0.000
5.962 2.688 0.000
-3.820 0.000 10.923
Er Tm Mg
5 5 2
Direct
0.000 0.000 0.000
0.058 0.058 0.735
0.191 0.191 0.530
0.809 0.809 0.470
0.942 0.942 0.265
0.246 0.246 0.251
0.322 0.322 0.981
0.500 0.500 0.500
0.678 0.678 0.019
0.754 0.754 0.749
0.431 0.431 0.765
0.569 0.569 0.235
```



# 4
For Er7Tm2Mg2, a PBE-relaxed structure gives the theoretical powder diffractogram in this record (λ = 1.5418 Å (Cu Kα)).
Intensities are scaled so that the largest is 100.

Main lines, low angle first (5 to 70 degrees two-theta):
two_theta, d (Å), Rel. int.
11.45, 7.728, 65
32.22, 2.778, 59
32.48, 2.757, 100
32.66, 2.741, 35
32.84, 2.727, 67
34.45, 2.603, 60
34.92, 2.570, 52
56.00, 1.642, 25

Structure:
```
Er7Tm2Mg2
1.0
5.890 -5.483 0.000
5.890 5.483 0.000
-2.128 0.000 5.164
Er Tm Mg
7 2 2
Direct
0.000 0.000 0.000
0.016 0.603 0.816
0.219 0.219 0.673
0.397 0.984 0.184
0.603 0.016 0.816
0.781 0.781 0.327
0.984 0.397 0.184
0.220 0.780 0.500
0.780 0.220 0.500
0.443 0.443 0.214
0.557 0.557 0.786
```



# 5
For Er3Tm2Mg4, a PBE-relaxed structure gives the theoretical powder diffractogram in this record (λ = 1.5418 Å (Cu Kα)).
Intensities are scaled so that the largest is 100.

Main lines, low angle first (5 to 70 degrees two-theta):
two_theta, d (Å), Rel. int.
11.26, 7.860, 36
19.33, 4.591, 21
31.73, 2.820, 100
32.88, 2.724, 55
33.70, 2.660, 93
39.10, 2.304, 38
40.10, 2.248, 20
52.05, 1.757, 19

Structure:
```
Er3Tm2Mg4
1.0
7.938 -5.632 0.000
7.938 5.632 0.000
-0.785 0.000 5.564
Er Tm Mg
6 4 8
Direct
0.118 0.882 0.750
0.220 0.466 0.902
0.466 0.220 0.402
0.534 0.780 0.598
0.780 0.534 0.098
0.882 0.118 0.250
0.113 0.328 0.350
0.328 0.113 0.850
0.672 0.887 0.150
0.887 0.672 0.650
0.023 0.752 0.202
0.248 0.977 0.298
0.319 0.576 0.463
0.424 0.681 0.037
0.576 0.319 0.963
0.681 0.424 0.537
0.752 0.023 0.702
0.977 0.248 0.798
```



# 6
For Er12Tm7Mg, a PBE-relaxed structure gives the theoretical powder diffractogram in this record (λ = 1.5418 Å (Cu Kα)).
Intensities are scaled so that the largest is 100.

Main lines, low angle first (5 to 70 degrees two-theta):
two_theta, d (Å), Rel. int.
22.76, 3.908, 16
29.76, 3.002, 21
31.44, 2.845, 42
32.26, 2.775, 100
32.60, 2.747, 49
33.53, 2.673, 28
33.78, 2.654, 43
52.32, 1.749, 14

Structure:
```
Er12Tm7Mg
1.0
5.869 3.389 5.237
-5.869 3.389 5.237
0.000 -6.777 5.237
Er Tm Mg
12 7 1
Direct
0.003 0.883 0.363
0.117 0.637 0.997
0.237 0.355 0.749
0.251 0.763 0.645
0.355 0.749 0.237
0.363 0.003 0.883
0.637 0.997 0.117
0.645 0.251 0.763
0.749 0.237 0.355
0.763 0.645 0.251
0.883 0.363 0.003
0.997 0.117 0.637
0.000 0.000 0.000
0.103 0.427 0.349
0.349 0.103 0.427
0.427 0.349 0.103
0.573 0.651 0.897
0.651 0.897 0.573
0.897 0.573 0.651
0.500 0.500 0.500
```



# 7
For Er12Tm5Mg, a PBE-relaxed structure gives the theoretical powder diffractogram in this record (λ = 1.5418 Å (Cu Kα)).
Intensities are scaled so that the largest is 100.

Main lines, low angle first (5 to 70 degrees two-theta):
two_theta, d (Å), Rel. int.
9.91, 8.922, 2
19.89, 4.463, 1
31.40, 2.849, 100
36.42, 2.467, 51
52.45, 1.745, 36
62.40, 1.488, 14
62.43, 1.487, 28
65.54, 1.424, 12

Structure:
```
Er12Tm5Mg
1.0
9.068 -5.230 0.000
9.068 5.230 0.000
-2.014 0.000 5.700
Er Tm Mg
12 5 1
Direct
0.000 0.333 0.832
0.000 0.667 0.168
0.166 0.834 0.000
0.167 0.500 0.665
0.333 0.000 0.832
0.333 0.667 0.500
0.500 0.167 0.665
0.500 0.833 0.335
0.667 0.000 0.168
0.667 0.333 0.500
0.833 0.500 0.335
0.834 0.166 0.000
0.000 0.000 0.500
0.167 0.167 0.335
0.333 0.333 0.167
0.667 0.667 0.833
0.833 0.833 0.665
0.500 0.500 0.000
```



# 8
For Y2Er4TmMg, a PBE-relaxed structure gives the theoretical powder diffractogram in this record (λ = 1.5418 Å (Cu Kα)).
Intensities are scaled so that the largest is 100.

Main lines, low angle first (5 to 70 degrees two-theta):
two_theta, d (Å), Rel. int.
31.36, 2.852, 100
36.06, 2.491, 17
36.53, 2.460, 33
52.27, 1.750, 24
61.92, 1.499, 14
62.49, 1.486, 14
62.61, 1.484, 14
65.45, 1.426, 12

Structure:
```
Y2Er4TmMg
1.0
4.913 0.000 0.000
0.000 4.925 0.000
0.000 0.000 9.964
Y Er Tm Mg
2 4 1 1
Direct
0.000 0.000 0.000
0.500 0.500 0.500
0.000 0.500 0.250
0.000 0.500 0.750
0.500 0.000 0.250
0.500 0.000 0.750
0.000 0.000 0.500
0.500 0.500 0.000
```



# 9
For Y4Er2TmMg, a PBE-relaxed structure gives the theoretical powder diffractogram in this record (λ = 1.5418 Å (Cu Kα)).
Intensities are scaled so that the largest is 100.

Main lines, low angle first (5 to 70 degrees two-theta):
two_theta, d (Å), Rel. int.
31.22, 2.865, 100
36.14, 2.486, 34
36.33, 2.473, 17
52.03, 1.758, 12
52.18, 1.753, 23
61.94, 1.498, 28
62.20, 1.492, 14
65.12, 1.433, 12

Structure:
```
Y4Er2TmMg
1.0
4.974 0.000 0.000
0.000 4.969 0.000
-0.010 0.000 9.890
Y Er Tm Mg
4 2 1 1
Direct
0.000 0.000 0.248
0.000 0.000 0.752
0.499 0.500 0.752
0.501 0.500 0.248
0.000 0.500 0.500
0.500 0.000 0.000
0.500 0.000 0.500
0.000 0.500 0.000
```



# 10
For YEr5Mg4, a PBE-relaxed structure gives the theoretical powder diffractogram in this record (λ = 1.5418 Å (Cu Kα)).
Intensities are scaled so that the largest is 100.

Main lines, low angle first (5 to 70 degrees two-theta):
two_theta, d (Å), Rel. int.
22.04, 4.033, 24
23.98, 3.711, 49
32.80, 2.731, 100
34.17, 2.624, 53
41.04, 2.199, 20
49.10, 1.855, 19
57.65, 1.599, 12
60.31, 1.535, 35

Structure:
```
YEr5Mg4
1.0
3.711 0.000 0.000
0.000 3.711 0.000
0.000 0.000 20.167
Y Er Mg
1 5 4
Direct
0.000 0.000 0.000
0.500 0.500 0.119
0.500 0.500 0.311
0.500 0.500 0.500
0.500 0.500 0.689
0.500 0.500 0.881
0.000 0.000 0.216
0.000 0.000 0.405
0.000 0.000 0.595
0.000 0.000 0.784
```



# 11
For Y3Er2Mg2, a PBE-relaxed structure gives the theoretical powder diffractogram in this record (λ = 1.5418 Å (Cu Kα)).
Intensities are scaled so that the largest is 100.

Main lines, low angle first (5 to 70 degrees two-theta):
two_theta, d (Å), Rel. int.
7.71, 11.468, 100
26.82, 3.324, 22
31.17, 2.869, 36
32.25, 2.776, 65
33.12, 2.705, 24
34.33, 2.612, 29
36.73, 2.447, 30
63.13, 1.473, 25

Structure:
```
Y3Er2Mg2
1.0
5.225 0.000 0.000
0.000 22.936 0.000
0.000 0.000 3.473
Y Er Mg
6 4 4
Direct
0.000 0.000 0.000
0.000 0.150 0.000
0.000 0.850 0.000
0.500 0.350 0.000
0.500 0.500 0.000
0.500 0.650 0.000
0.000 0.288 0.500
0.000 0.712 0.500
0.500 0.212 0.500
0.500 0.788 0.500
0.000 0.431 0.500
0.000 0.569 0.500
0.500 0.069 0.500
0.500 0.931 0.500
```



# 12
For Y4Er8Mg, a PBE-relaxed structure gives the theoretical powder diffractogram in this record (λ = 1.5418 Å (Cu Kα)).
Intensities are scaled so that the largest is 100.

Main lines, low angle first (5 to 70 degrees two-theta):
two_theta, d (Å), Rel. int.
31.20, 2.866, 100
36.09, 2.489, 34
36.38, 2.469, 16
51.96, 1.760, 12
52.18, 1.753, 23
61.83, 1.501, 14
61.90, 1.499, 14
62.26, 1.491, 14

Structure:
```
Y4Er8Mg
1.0
5.560 -2.487 0.000
5.560 2.487 0.000
-1.210 0.000 14.380
Y Er Mg
4 8 1
Direct
0.111 0.111 0.152
0.346 0.346 0.460
0.654 0.654 0.540
0.889 0.889 0.848
0.035 0.035 0.382
0.198 0.198 0.924
0.271 0.271 0.695
0.418 0.418 0.227
0.582 0.582 0.773
0.729 0.729 0.305
0.802 0.802 0.076
0.965 0.965 0.618
0.500 0.500 0.000
```



Number 7 is which compound? Er12Tm5Mg